Record 1
Simulated PXRD pattern of MgVTe4O12 for Cu Kα (weighted mean of Kα1 and Kα2), from a structure optimized by DFT (PBE+U).

Atomic structure:
```
MgVTe4O12
1.0
5.133 0.000 0.000
-0.178 5.669 0.000
-2.338 -0.120 8.387
Mg V Te O
1 1 4 12
Cartesian
0.000 0.000 0.000 Mg
0.070 2.505 8.326 V
-0.382 3.717 2.727 Te
0.598 0.131 5.518 Te
2.547 0.871 2.499 Te
2.723 3.000 6.667 Te
-1.471 1.529 7.630 O
-0.877 4.011 7.570 O
0.850 5.556 1.828 O
0.453 3.991 4.403 O
1.846 2.589 1.733 O
1.578 1.175 4.191 O
0.948 1.849 6.712 O
3.446 0.901 0.802 O
1.982 5.159 6.352 O
1.780 3.545 8.328 O
3.266 4.964 3.252 O
3.894 2.020 3.441 O
```

Main lines, sorted by position (10° ≤ 2θ ≤ 80°):
21.19°, intensity 45
23.48°, intensity 75
23.85°, intensity 44
27.67°, intensity 26
28.52°, intensity 100
28.82°, intensity 39
31.54°, intensity 28
34.95°, intensity 36

---

Record 2
Simulated PXRD pattern of Mg2TeWO6 for Cu Kα (weighted mean of Kα1 and Kα2), from a structure optimized by DFT (PBE+U).

Atomic structure:
```
Mg2TeWO6
1.0
5.608 0.000 0.000
1.672 5.405 0.000
0.026 2.417 5.417
Mg Te W O
2 1 1 6
Cartesian
0.000 0.000 0.000 Mg
3.138 2.173 0.511 Mg
4.953 4.841 2.934 Te
6.044 2.363 1.828 W
1.592 3.559 0.819 O
0.816 1.988 3.570 O
1.502 1.053 0.908 O
4.455 3.579 1.443 O
4.250 3.798 4.424 O
4.613 1.101 1.514 O
```

Main lines, sorted by position (10° ≤ 2θ ≤ 80°):
16.36°, intensity 100
16.68°, intensity 64
20.27°, intensity 89
22.58°, intensity 54
24.91°, intensity 61
27.58°, intensity 41
29.34°, intensity 40
35.74°, intensity 48

---

Record 3
Simulated PXRD pattern of Mg2TeWO6 for Cu Kα (weighted mean of Kα1 and Kα2), from a structure optimized by DFT (PBE+U).

Atomic structure:
```
Mg2TeWO6
1.0
5.091 0.000 0.000
0.000 5.312 0.000
-4.325 0.000 9.374
Mg Te W O
4 2 2 12
Cartesian
0.088 0.134 2.328 Mg
-2.074 2.522 7.014 Mg
2.841 2.790 2.359 Mg
0.678 5.178 7.046 Mg
-2.162 0.000 4.687 Te
0.000 2.656 0.000 Te
2.546 0.000 0.000 W
0.383 2.656 4.687 W
-2.675 0.657 7.793 O
-0.512 1.999 3.106 O
-1.217 3.513 5.377 O
0.946 4.455 0.690 O
-0.301 1.054 5.676 O
1.861 1.602 0.989 O
-1.095 3.710 8.385 O
1.068 4.258 3.698 O
-0.179 0.857 8.684 O
1.983 1.799 3.997 O
1.279 3.313 6.267 O
3.441 4.655 1.580 O
```

Main lines, sorted by position (10° ≤ 2θ ≤ 80°):
18.93°, intensity 98
24.26°, intensity 100
30.03°, intensity 99
31.85°, intensity 98
33.75°, intensity 33
38.97°, intensity 38
49.69°, intensity 30
59.16°, intensity 38

---

Record 4
Simulated PXRD pattern of Mg4Te3W5O18 for Cu Kα (weighted mean of Kα1 and Kα2), from a structure optimized by DFT (PBE+U).

Atomic structure:
```
Mg4Te3W5O18
1.0
7.872 -5.320 0.000
7.872 5.320 0.000
-0.278 0.000 10.288
Mg Te W O
8 6 10 36
Cartesian
0.157 0.000 2.781 Mg
4.506 0.788 3.274 Mg
3.237 -1.696 1.839 Mg
7.574 -0.927 2.260 Mg
7.892 -0.927 8.029 Mg
10.960 0.788 7.015 Mg
12.229 -1.696 8.450 Mg
15.309 0.000 7.508 Mg
7.650 2.223 7.746 Te
7.816 2.223 2.543 Te
6.513 -2.583 4.465 Te
6.327 -3.733 9.707 Te
8.953 -2.583 5.823 Te
9.139 -3.733 0.582 Te
2.430 0.315 8.180 W
7.872 3.476 0.000 W
2.352 -1.336 5.285 W
5.084 0.441 10.111 W
7.733 0.879 5.144 W
5.053 -1.198 7.221 W
10.381 0.441 0.177 W
10.413 -1.198 3.067 W
13.036 0.315 2.108 W
13.113 -1.336 5.004 W
6.245 4.241 3.315 O
6.396 3.857 8.532 O
3.764 1.682 8.898 O
1.218 -0.210 4.424 O
0.987 -0.336 9.490 O
6.028 2.355 5.336 O
9.220 4.241 6.973 O
6.187 2.048 0.182 O
9.070 3.857 1.756 O
3.533 0.020 6.421 O
4.064 0.185 1.267 O
3.662 -1.091 3.844 O
3.993 -0.962 8.965 O
6.566 0.582 3.290 O
6.137 0.202 8.421 O
9.438 2.355 4.952 O
9.279 2.048 10.107 O
6.306 -0.542 5.947 O
6.499 -0.723 0.654 O
3.759 -2.577 6.576 O
8.900 0.582 6.999 O
9.329 0.202 1.868 O
11.702 1.682 1.391 O
9.160 -0.542 4.341 O
6.426 -2.382 8.053 O
8.967 -0.723 9.635 O
11.402 0.185 9.022 O
11.932 0.020 3.868 O
6.702 -3.818 2.877 O
9.040 -2.382 2.235 O
11.472 -0.962 1.323 O
11.804 -1.091 6.445 O
8.764 -3.818 7.412 O
14.248 -0.210 5.865 O
14.478 -0.336 0.799 O
11.707 -2.577 3.712 O
```

Main lines, sorted by position (10° ≤ 2θ ≤ 80°):
13.33°, intensity 86
18.79°, intensity 54
20.15°, intensity 49
21.82°, intensity 66
25.34°, intensity 42
29.73°, intensity 77
31.07°, intensity 100
31.92°, intensity 64

---

Record 5
Simulated PXRD pattern of MgTiVO4 for Cu Kα (weighted mean of Kα1 and Kα2), from a structure optimized by DFT (PBE+U).

Atomic structure:
```
MgTiVO4
1.0
3.027 0.000 0.000
0.000 3.219 4.258
0.000 -3.219 4.258
Mg Ti V O
1 1 1 4
Cartesian
0.000 0.000 0.000 Mg
0.000 0.000 5.699 Ti
1.514 0.000 2.440 V
0.000 -1.963 5.881 O
0.000 1.963 5.881 O
1.514 0.000 4.483 O
1.514 0.000 7.250 O
```

Main lines, sorted by position (10° ≤ 2θ ≤ 80°):
20.86°, intensity 54
27.71°, intensity 100
34.39°, intensity 59
34.53°, intensity 45
36.42°, intensity 50
46.04°, intensity 32
46.37°, intensity 31
53.43°, intensity 32

---

Record 6
Simulated PXRD pattern of MgTi3V5O16 for Cu Kα (weighted mean of Kα1 and Kα2), from a structure optimized by DFT (PBE+U).

Atomic structure:
```
MgTi3V5O16
1.0
5.882 0.000 0.000
2.920 5.180 0.000
0.041 0.068 9.727
Mg Ti V O
1 3 5 16
Cartesian
0.000 0.000 0.000 Mg
1.618 0.566 6.851 Ti
4.286 3.962 2.313 Ti
6.239 1.776 2.303 Ti
2.748 3.300 7.013 V
3.038 1.726 9.560 V
4.480 0.909 6.815 V
5.906 3.395 4.899 V
7.157 4.542 2.360 V
2.917 5.117 7.859 O
0.064 0.027 3.100 O
1.673 2.479 8.170 O
1.449 0.909 0.998 O
2.958 3.487 1.061 O
2.888 1.655 5.919 O
4.359 4.143 5.947 O
2.937 0.188 8.088 O
4.204 2.379 8.115 O
5.830 4.971 3.427 O
4.659 2.571 3.410 O
5.865 3.476 1.292 O
4.446 0.828 1.069 O
7.284 4.277 5.963 O
5.878 1.646 5.937 O
7.286 2.780 3.402 O
```

Main lines, sorted by position (10° ≤ 2θ ≤ 80°):
18.24°, intensity 100
19.36°, intensity 36
19.58°, intensity 93
19.69°, intensity 44
32.66°, intensity 36
35.57°, intensity 31
39.76°, intensity 40
44.99°, intensity 31

---

Record 7
Simulated PXRD pattern of MgTi3V5O16 for Cu Kα (weighted mean of Kα1 and Kα2), from a structure optimized by DFT (PBE+U).

Atomic structure:
```
MgTi3V5O16
1.0
5.902 0.000 0.000
2.875 5.178 0.000
0.257 0.106 9.275
Mg Ti V O
1 3 5 16
Cartesian
0.000 0.000 0.000 Mg
0.342 0.133 6.389 Ti
4.716 4.328 2.227 Ti
5.949 1.677 2.437 Ti
1.773 2.734 6.952 V
3.045 1.832 2.174 V
3.288 0.197 6.921 V
4.817 2.798 8.937 V
7.414 4.289 4.270 V
0.105 0.045 3.311 O
2.975 3.680 5.576 O
1.476 0.869 1.278 O
1.877 1.089 5.847 O
3.250 3.467 0.973 O
4.734 4.616 7.842 O
3.375 1.971 7.774 O
4.525 2.684 3.233 O
3.145 0.045 3.261 O
5.826 3.445 1.063 O
4.635 1.143 1.051 O
4.701 0.754 5.589 O
6.371 3.725 5.796 O
7.815 4.574 7.802 O
6.321 1.860 7.877 O
7.415 2.739 3.254 O
```

Main lines, sorted by position (10° ≤ 2θ ≤ 80°):
19.14°, intensity 100
19.54°, intensity 51
19.68°, intensity 76
19.85°, intensity 45
20.14°, intensity 51
35.59°, intensity 49
36.34°, intensity 43
61.87°, intensity 44

---

Record 8
Simulated PXRD pattern of MgTiVO4 for Cu Kα (weighted mean of Kα1 and Kα2), from a structure optimized by DFT (PBE+U).

Atomic structure:
```
MgTiVO4
1.0
-2.072 2.072 4.337
2.072 -2.072 4.337
2.072 2.072 -4.337
Mg Ti V O
1 1 1 4
Cartesian
0.000 0.000 0.000 Mg
2.072 0.000 2.168 Ti
0.000 0.000 4.337 V
2.072 0.000 0.206 O
0.000 0.000 2.143 O
2.072 0.000 4.131 O
0.000 0.000 6.530 O
```

Main lines, sorted by position (10° ≤ 2θ ≤ 80°):
23.80°, intensity 100
37.03°, intensity 31
41.65°, intensity 51
43.69°, intensity 93
50.35°, intensity 22
61.95°, intensity 52
63.50°, intensity 25
78.85°, intensity 23

---

Record 9
Simulated PXRD pattern of MgTi3V5O16 for Cu Kα (weighted mean of Kα1 and Kα2), from a structure optimized by DFT (PBE+U).

Atomic structure:
```
MgTi3V5O16
1.0
5.908 0.000 0.000
2.862 5.177 0.000
1.649 0.830 9.698
Mg Ti V O
1 3 5 16
Cartesian
0.000 0.000 0.000 Mg
2.859 3.355 7.323 Ti
4.362 0.659 7.353 Ti
7.381 4.125 2.774 Ti
1.488 0.813 6.943 V
4.529 4.258 2.457 V
3.015 1.701 0.633 V
5.869 3.376 5.192 V
5.863 1.723 2.639 V
1.491 0.841 1.322 O
3.007 3.463 1.268 O
4.437 4.212 6.188 O
3.142 1.674 6.264 O
5.803 5.278 8.293 O
4.410 2.407 8.583 O
4.649 2.526 3.631 O
5.975 4.848 3.728 O
4.524 0.817 1.333 O
6.058 3.373 1.542 O
7.416 4.235 6.308 O
6.005 1.633 6.173 O
8.935 5.123 8.242 O
7.599 2.349 8.300 O
7.270 2.580 3.762 O
8.904 5.114 3.372 O
```

Main lines, sorted by position (10° ≤ 2θ ≤ 80°):
18.30°, intensity 100
20.18°, intensity 26
20.40°, intensity 28
21.45°, intensity 40
23.84°, intensity 23
29.98°, intensity 27
35.19°, intensity 45
62.90°, intensity 37

---

Record 10
Simulated PXRD pattern of MgTi3V5O16 for Cu Kα (weighted mean of Kα1 and Kα2), from a structure optimized by DFT (PBE+U).

Atomic structure:
```
MgTi3V5O16
1.0
5.887 0.000 0.000
2.903 5.160 0.000
0.137 0.160 9.426
Mg Ti V O
1 3 5 16
Cartesian
0.000 0.000 0.000 Mg
3.058 1.809 2.043 Ti
3.354 0.395 6.964 Ti
7.408 2.715 7.042 Ti
3.306 5.072 6.642 V
4.567 4.365 2.417 V
4.715 2.872 9.086 V
6.015 1.843 2.417 V
7.463 4.386 4.350 V
2.963 5.203 3.229 O
1.519 2.619 3.237 O
3.054 3.668 5.662 O
1.465 0.856 1.274 O
1.818 1.089 6.003 O
3.170 3.434 1.042 O
4.664 4.579 8.004 O
3.275 1.969 7.966 O
4.383 2.576 3.227 O
5.916 5.206 3.238 O
5.721 3.358 1.173 O
4.515 1.101 1.032 O
6.335 3.703 5.889 O
4.727 0.765 5.736 O
6.177 1.824 8.084 O
7.755 4.503 7.948 O
```

Main lines, sorted by position (10° ≤ 2θ ≤ 80°):
18.83°, intensity 100
19.64°, intensity 49
19.75°, intensity 66
19.98°, intensity 47
33.17°, intensity 31
35.50°, intensity 38
36.23°, intensity 57
40.11°, intensity 37